No. 1
The following is a calculated powder X-ray diffraction pattern of Er2In5Ni. It was derived from a cell relaxed with PBE, using Cu Kα (weighted mean of Kα1 and Kα2).
Intensities are scaled so that the largest is 100.

Cell and atoms:
```
Er2In5Ni
1.0
2.3419 1.3521 10.6165
-2.3419 1.3521 10.6165
0.0000 -2.7042 10.6165
Er In Ni
2 5 1
Direct
0.0816 0.0816 0.0816 Er
0.9184 0.9184 0.9184 Er
0.2043 0.2043 0.2043 In
0.3562 0.3562 0.3562 In
0.5000 0.5000 0.5000 In
0.6438 0.6438 0.6438 In
0.7957 0.7957 0.7957 In
0.0000 0.0000 0.0000 Ni
```

Main lines, low angle first (10 to 90 degrees two-theta):
29.50 deg, I 100; 38.19 deg, I 14; 38.44 deg, I 75; 45.73 deg, I 28; 49.19 deg, I 24; 64.10 deg, I 21



No. 2
The following is a calculated powder X-ray diffraction pattern of Er2NpIn9. It was derived from a cell relaxed with PBE, using Cu Kα (weighted mean of Kα1 and Kα2).
Intensities are scaled so that the largest is 100.

Cell and atoms:
```
Er2NpIn9
1.0
4.6200 0.0000 0.0000
0.0000 4.6200 0.0000
0.0000 0.0000 13.9001
Er Np In
2 1 9
Direct
0.0000 0.0000 0.1651 Er
0.0000 0.0000 0.8349 Er
0.0000 0.0000 0.5000 Np
0.0000 0.5000 0.0000 In
0.0000 0.5000 0.3328 In
0.0000 0.5000 0.6672 In
0.5000 0.0000 0.0000 In
0.5000 0.0000 0.3328 In
0.5000 0.0000 0.6672 In
0.5000 0.5000 0.1672 In
0.5000 0.5000 0.5000 In
0.5000 0.5000 0.8328 In
```

Main lines, low angle first (10 to 90 degrees two-theta):
33.57 deg, I 100; 38.87 deg, I 17; 38.99 deg, I 33; 56.27 deg, I 34; 67.03 deg, I 13; 67.19 deg, I 26



No. 3
The following is a calculated powder X-ray diffraction pattern of ErIn2OsO8. It was derived from a cell relaxed with PBE, using Cu Kα (weighted mean of Kα1 and Kα2).
Intensities are scaled so that the largest is 100.

Cell and atoms:
```
ErIn2OsO8
1.0
4.9331 0.0000 0.0000
0.0000 6.5815 0.0000
-0.0796 0.0000 4.9433
Er In Os O
1 2 1 8
Direct
0.0000 0.0000 0.0000 Er
0.5000 0.2484 0.5000 In
0.5000 0.7516 0.5000 In
0.0000 0.5000 0.0000 Os
0.1858 0.2884 0.8166 O
0.1858 0.7116 0.8166 O
0.2776 0.5000 0.2797 O
0.3060 0.0000 0.3083 O
0.6940 0.0000 0.6917 O
0.7224 0.5000 0.7203 O
0.8142 0.2884 0.1834 O
0.8142 0.7116 0.1834 O
```

Main lines, low angle first (10 to 90 degrees two-theta):
25.30 deg, I 60; 25.72 deg, I 56; 32.70 deg, I 100; 36.39 deg, I 30; 49.49 deg, I 40; 49.96 deg, I 38



No. 4
The following is a calculated powder X-ray diffraction pattern of ErInPtO6. It was derived from a cell relaxed with PBE, using Cu Kα (weighted mean of Kα1 and Kα2).
Intensities are scaled so that the largest is 100.

Cell and atoms:
```
ErInPtO6
1.0
4.9022 0.0000 0.0000
0.0000 4.9022 0.0000
0.0000 0.0000 9.9707
Er In Pt O
2 2 2 12
Direct
0.0000 0.0000 0.0000 Er
0.5000 0.5000 0.5000 Er
0.0000 0.0000 0.3359 In
0.5000 0.5000 0.8359 In
0.0000 0.0000 0.6695 Pt
0.5000 0.5000 0.1695 Pt
0.1844 0.1844 0.5180 O
0.1903 0.1903 0.8211 O
0.2187 0.2187 0.1696 O
0.2813 0.7187 0.6696 O
0.3097 0.6903 0.3211 O
0.3156 0.6844 0.0180 O
0.6844 0.3156 0.0180 O
0.6903 0.3097 0.3211 O
0.7187 0.2813 0.6696 O
0.7813 0.7813 0.1696 O
0.8097 0.8097 0.8211 O
0.8156 0.8156 0.5180 O
```

Main lines, low angle first (10 to 90 degrees two-theta):
25.70 deg, I 100; 32.55 deg, I 90; 36.66 deg, I 27; 49.83 deg, I 69; 61.92 deg, I 17; 63.43 deg, I 19



No. 5
The following is a calculated powder X-ray diffraction pattern of ErIn2TcO8. It was derived from a cell relaxed with PBE, using Cu Kα (weighted mean of Kα1 and Kα2).
Intensities are scaled so that the largest is 100.

Cell and atoms:
```
ErIn2TcO8
1.0
4.9626 0.0000 0.0000
0.0000 6.5255 0.0000
-0.1256 0.0000 4.9724
Er In Tc O
1 2 1 8
Direct
0.0000 0.0000 0.0000 Er
0.5000 0.2501 0.5000 In
0.5000 0.7499 0.5000 In
0.0000 0.5000 0.0000 Tc
0.1830 0.2906 0.8193 O
0.1830 0.7094 0.8193 O
0.2834 0.5000 0.2854 O
0.3057 0.0000 0.3080 O
0.6943 0.0000 0.6920 O
0.7166 0.5000 0.7146 O
0.8170 0.2906 0.1807 O
0.8170 0.7094 0.1807 O
```

Main lines, low angle first (10 to 90 degrees two-theta):
25.03 deg, I 67; 25.68 deg, I 60; 32.84 deg, I 100; 36.17 deg, I 30; 49.29 deg, I 43; 50.02 deg, I 39



No. 6
The following is a calculated powder X-ray diffraction pattern of Er2InTeO8. It was derived from a cell relaxed with PBE, using Cu Kα (weighted mean of Kα1 and Kα2).
Intensities are scaled so that the largest is 100.

Cell and atoms:
```
Er2InTeO8
1.0
3.4539 -3.5739 0.0000
3.4539 3.5739 0.0000
0.0000 0.0000 6.7725
Er In Te O
2 1 1 8
Direct
0.0000 0.0000 0.2480 Er
0.0000 0.0000 0.7520 Er
0.5000 0.5000 0.0000 In
0.5000 0.5000 0.5000 Te
0.2005 0.2005 0.0000 O
0.2198 0.2198 0.5000 O
0.3157 0.6843 0.2855 O
0.3157 0.6843 0.7145 O
0.6843 0.3157 0.2855 O
0.6843 0.3157 0.7145 O
0.7802 0.7802 0.5000 O
0.7995 0.7995 0.0000 O
```

Main lines, low angle first (10 to 90 degrees two-theta):
24.91 deg, I 60; 25.79 deg, I 52; 31.99 deg, I 100; 36.17 deg, I 28; 48.54 deg, I 41; 49.54 deg, I 36



What did the fourth record say?
The following is a calculated powder X-ray diffraction pattern of ErInPtO6. It was derived from a cell relaxed with PBE, using Cu Kα (weighted mean of Kα1 and Kα2).
Intensities are scaled so that the largest is 100.

Cell and atoms:
```
ErInPtO6
1.0
4.9022 0.0000 0.0000
0.0000 4.9022 0.0000
0.0000 0.0000 9.9707
Er In Pt O
2 2 2 12
Direct
0.0000 0.0000 0.0000 Er
0.5000 0.5000 0.5000 Er
0.0000 0.0000 0.3359 In
0.5000 0.5000 0.8359 In
0.0000 0.0000 0.6695 Pt
0.5000 0.5000 0.1695 Pt
0.1844 0.1844 0.5180 O
0.1903 0.1903 0.8211 O
0.2187 0.2187 0.1696 O
0.2813 0.7187 0.6696 O
0.3097 0.6903 0.3211 O
0.3156 0.6844 0.0180 O
0.6844 0.3156 0.0180 O
0.6903 0.3097 0.3211 O
0.7187 0.2813 0.6696 O
0.7813 0.7813 0.1696 O
0.8097 0.8097 0.8211 O
0.8156 0.8156 0.5180 O
```

Main lines, low angle first (10 to 90 degrees two-theta):
25.70 deg, I 100; 32.55 deg, I 90; 36.66 deg, I 27; 49.83 deg, I 69; 61.92 deg, I 17; 63.43 deg, I 19